No. 1
# La2MgZn3In4
Computed X-ray diffraction stick pattern, Cu Kα X-rays. Input: a PBE-relaxed structure.

Structural model:
a b c (Å): 4.5513 4.5513 11.6053
angles (deg): 90.00 90.00 90.00
Space group P-4m2 (No. 115)
Asymmetric unit:
La  0.0000  0.5000  0.2438 (multiplicity 2)
Mg  0.0000  0.0000  0.5000 (multiplicity 1)
Zn  0.0000  0.5000  0.8633 (multiplicity 2)
Zn  0.5000  0.5000  0.5000 (multiplicity 1)
In  0.0000  0.0000  0.0000 (multiplicity 1)
In  0.0000  0.5000  0.6407 (multiplicity 2)
In  0.5000  0.5000  0.0000 (multiplicity 1)

Peak list (6 most intense, 15° ≤ 2θ ≤ 90°, low angle first)
- hkl 1 0 3, 2θ = 30.32°, intensity 53.4
- hkl 1 1 2, 2θ = 31.80°, intensity 100.0
- hkl 2 0 0, 2θ = 39.60°, intensity 58.6
- hkl 1 0 5, 2θ = 43.78°, intensity 35.5
- hkl 2 1 3, 2θ = 50.68°, intensity 25.0
- hkl 2 1 5, 2θ = 60.50°, intensity 26.5

No. 2
# Er2TmAu3
Computed X-ray diffraction stick pattern, Cu Kα X-rays. Input: a PBE-relaxed structure.

Structural model:
a b c (Å): 5.0381 5.0381 12.3691
angles (deg): 90.00 90.00 120.00
Space group P-3m1 (No. 164)
Asymmetric unit:
Er  0.0000  0.0000  0.0000 (multiplicity 1)
Er  0.0000  0.0000  0.5000 (multiplicity 1)
Er  0.3333  0.6667  0.1672 (multiplicity 2)
Tm  0.3333  0.6667  0.6665 (multiplicity 2)
Au  0.0000  0.0000  0.2507 (multiplicity 2)
Au  0.3333  0.6667  0.4167 (multiplicity 2)
Au  0.3333  0.6667  0.9161 (multiplicity 2)

Peak list (6 most intense, 15° ≤ 2θ ≤ 90°, low angle first)
- hkl 1 1 0, 2θ = 35.61°, intensity 100.0
- hkl 0 2 4, 2θ = 51.25°, intensity 17.9
- hkl 0 1 8, 2θ = 63.87°, intensity 9.3
- hkl 3 0 0, 2θ = 64.00°, intensity 27.8
- hkl 2 0 8, 2θ = 75.34°, intensity 5.8
- hkl 1 3 4, 2θ = 86.28°, intensity 17.0

No. 3
# Sm2As3Rh5
Computed X-ray diffraction stick pattern, Cu Kα X-rays. Input: a PBE-relaxed structure.

Structural model:
a b c (Å): 4.1932 24.9432 6.7278
angles (deg): 90.00 90.00 90.00
Space group Cmc2_1 (No. 36)
Asymmetric unit:
Sm  0.0000  0.0184  0.0000 (multiplicity 4)
Sm  0.0000  0.3230  0.9545 (multiplicity 4)
As  0.0000  0.1111  0.2458 (multiplicity 4)
As  0.0000  0.2783  0.3990 (multiplicity 4)
As  0.0000  0.4501  0.2120 (multiplicity 4)
Rh  0.0000  0.0992  0.6315 (multiplicity 4)
Rh  0.0000  0.2014  0.1116 (multiplicity 4)
Rh  0.0000  0.2250  0.7059 (multiplicity 4)
Rh  0.0000  0.3768  0.4693 (multiplicity 4)
Rh  0.0000  0.4413  0.8399 (multiplicity 4)

Peak list (6 most intense, 15° ≤ 2θ ≤ 90°, low angle first)
- hkl 0 6 2, 2θ = 34.33°, intensity 54.7
- hkl 1 7 1, 2θ = 35.66°, intensity 93.5
- hkl 1 3 2, 2θ = 35.89°, intensity 100.0
- hkl 1 9 0, 2θ = 38.95°, intensity 37.4
- hkl 0 4 3, 2θ = 42.83°, intensity 34.9
- hkl 2 0 0, 2θ = 43.15°, intensity 57.2

No. 4
# Pm5Ho2ErTh
Computed X-ray diffraction stick pattern, Cu Kα X-rays. Input: a PBE-relaxed structure.

Structural model:
a b c (Å): 5.6171 20.4647 10.5961
angles (deg): 90.00 90.00 90.00
Space group Cmc2_1 (No. 36)
Asymmetric unit:
Pm  0.0000  0.0136  0.0000 (multiplicity 4)
Pm  0.0000  0.2766  0.7060 (multiplicity 4)
Pm  0.0000  0.2929  0.3135 (multiplicity 4)
Pm  0.0000  0.3849  0.9937 (multiplicity 4)
Pm  0.0000  0.4826  0.2726 (multiplicity 4)
Ho  0.0000  0.1122  0.2789 (multiplicity 4)
Ho  0.0000  0.1149  0.7095 (multiplicity 4)
Er  0.0000  0.4050  0.5565 (multiplicity 4)
Th  0.0000  0.1994  0.0067 (multiplicity 4)

Peak list (6 most intense, 15° ≤ 2θ ≤ 90°, low angle first)
- hkl 0 6 1, 2θ = 27.47°, intensity 10.6
- hkl 1 1 3, 2θ = 30.21°, intensity 24.6
- hkl 2 0 0, 2θ = 31.89°, intensity 100.0
- hkl 0 0 4, 2θ = 33.84°, intensity 10.0
- hkl 3 5 2, 2θ = 56.79°, intensity 14.6
- hkl 2 6 5, 2θ = 61.15°, intensity 8.6

No. 5
# Na3CdAs2
Computed X-ray diffraction stick pattern, Cu Kα X-rays. Input: a PBE-relaxed structure.

Structural model:
a b c (Å): 6.2818 15.2706 6.2237
angles (deg): 90.00 90.00 90.00
Space group Ibam (No. 72)
Asymmetric unit:
Na  0.0000  0.0000  0.2500 (multiplicity 4)
Na  0.2475  0.3177  0.0000 (multiplicity 8)
Cd  0.0000  0.5000  0.2500 (multiplicity 4)
As  0.2269  0.3798  0.5000 (multiplicity 8)

Peak list (6 most intense, 15° ≤ 2θ ≤ 90°, low angle first)
- hkl 1 1 0, 2θ = 15.25°, intensity 76.4
- hkl 1 2 1, 2θ = 23.25°, intensity 68.9
- hkl 0 2 2, 2θ = 31.01°, intensity 43.2
- hkl 2 4 0, 2θ = 37.06°, intensity 64.2
- hkl 0 4 2, 2θ = 37.28°, intensity 65.9
- hkl 2 0 2, 2θ = 40.85°, intensity 100.0

No. 6
# Zr2TlTe
Computed X-ray diffraction stick pattern, Cu Kα X-rays. Input: a PBE-relaxed structure.

Structural model:
a b c (Å): 3.4583 4.1519 6.6982
angles (deg): 90.00 102.45 90.00
Space group P2/m (No. 10)
Asymmetric unit:
Zr  0.0272  0.0000  0.2550 (multiplicity 2)
Tl  0.5000  0.5000  0.0000 (multiplicity 1)
Te  0.5000  0.5000  0.5000 (multiplicity 1)

Peak list (6 most intense, 15° ≤ 2θ ≤ 90°, low angle first)
- hkl 1 0 -2, 2θ = 33.79°, intensity 52.1
- hkl 1 1 0, 2θ = 34.23°, intensity 100.0
- hkl 0 1 2, 2θ = 34.92°, intensity 95.6
- hkl 1 0 2, 2θ = 42.42°, intensity 27.3
- hkl 0 2 0, 2θ = 43.60°, intensity 25.7
- hkl 0 0 4, 2θ = 56.27°, intensity 36.0

No. 7
# PrMg2AlGe2
Computed X-ray diffraction stick pattern, Cu Kα X-rays. Input: a PBE-relaxed structure.

Structural model:
a b c (Å): 4.2330 8.5959 7.1558
angles (deg): 90.00 90.00 90.00
Space group Pmc2_1 (No. 26)
Asymmetric unit:
Pr  0.0000  0.0796  0.0000 (multiplicity 2)
Mg  0.0000  0.3220  0.3947 (multiplicity 2)
Mg  0.5000  0.4228  0.0703 (multiplicity 2)
Al  0.5000  0.2027  0.6781 (multiplicity 2)
Ge  0.0000  0.3779  0.7730 (multiplicity 2)
Ge  0.5000  0.1315  0.3074 (multiplicity 2)

Peak list (6 most intense, 15° ≤ 2θ ≤ 90°, low angle first)
- hkl 0 2 1, 2θ = 24.16°, intensity 36.3
- hkl 1 1 1, 2θ = 26.57°, intensity 36.8
- hkl 1 2 1, 2θ = 32.21°, intensity 64.2
- hkl 1 1 2, 2θ = 34.44°, intensity 100.0
- hkl 1 3 1, 2θ = 40.03°, intensity 40.4
- hkl 2 0 0, 2θ = 42.72°, intensity 32.0

No. 8
# TbPmNd2Dy
Computed X-ray diffraction stick pattern, Cu Kα X-rays. Input: a PBE-relaxed structure.

Structural model:
a b c (Å): 8.2395 6.7594 6.2238
angles (deg): 90.00 90.12 90.00
Space group P2/c (No. 13)
Asymmetric unit:
Tb  0.0000  0.0790  0.2500 (multiplicity 2)
Pm  0.0000  0.5000  0.0000 (multiplicity 2)
Nd  0.3047  0.1929  0.7491 (multiplicity 4)
Dy  0.5000  0.3420  0.2500 (multiplicity 2)

Peak list (6 most intense, 15° ≤ 2θ ≤ 90°, low angle first)
- hkl 1 2 0, 2θ = 28.55°, intensity 41.6
- hkl 0 0 2, 2θ = 28.69°, intensity 31.5
- hkl 2 1 1, 2θ = 29.16°, intensity 100.0
- hkl 1 2 -1, 2θ = 32.03°, intensity 52.5
- hkl 1 1 2, 2θ = 33.52°, intensity 45.6
- hkl 3 1 -2, 2θ = 46.08°, intensity 35.1